Record 1
K2BiBSe4: computed XRD peak list (Cu Kα, 1.54184 Å), based on a cell relaxed with GGA-PBE.
Neutral-atom scattering factors, no anomalous dispersion.

Crystal structure
Unit cell a=9.287 b=9.287 c=8.471 alpha=113.45 beta=113.45 gamma=100.92
Fractional coordinates of all 16 atoms:
1 K 0.000 0.000 0.000
2 K 0.000 0.000 0.500
3 K 0.000 0.500 0.000
4 K 0.500 0.000 0.500
5 Bi 0.500 0.500 0.000
6 Bi 0.500 0.500 0.500
7 B 0.000 0.500 0.500
8 B 0.500 0.000 0.000
9 Se 0.145 0.634 0.470
10 Se 0.260 0.317 0.059
11 Se 0.317 0.260 0.559
12 Se 0.366 0.855 0.030
13 Se 0.634 0.145 0.970
14 Se 0.683 0.740 0.441
15 Se 0.740 0.683 0.941
16 Se 0.855 0.366 0.530

Principal peaks in the range 10° ≤ 2θ ≤ 90°, by angle:
two_theta	intensity
11.40	100
12.36	34
20.95	21
23.87	21
24.86	71
26.97	56
30.37	14
32.89	50
34.64	18
37.01	42
41.10	21
44.92	14

---

Record 2
LiBiB: computed XRD peak list (Cu Kα, 1.54184 Å), based on a cell relaxed with GGA-PBE.
Neutral-atom scattering factors, no anomalous dispersion.

Crystal structure
Unit cell a=3.176 b=3.620 c=9.476 alpha=90.00 beta=99.17 gamma=90.00
Fractional coordinates of all 6 atoms:
1 Li 0.193 0.000 0.380
2 Li 0.807 0.000 0.620
3 Bi 0.402 0.500 0.817
4 Bi 0.598 0.500 0.183
5 B 0.263 0.500 0.528
6 B 0.737 0.500 0.472

Principal peaks in the range 10° ≤ 2θ ≤ 90°, by angle:
two_theta	intensity
18.97	68
24.59	100
28.51	93
28.63	63
31.25	42
36.97	33
37.29	31
38.00	92
38.09	63
44.91	35
45.18	33
58.94	26

---

Record 3
Li2Bi5B3O13: computed XRD peak list (Cu Kα, 1.54184 Å), based on a cell relaxed with GGA-PBE.
Neutral-atom scattering factors, no anomalous dispersion.

Crystal structure
Unit cell a=11.004 b=3.710 c=16.141 alpha=90.00 beta=102.99 gamma=90.00
Fractional coordinates of all 46 atoms:
1 Li 0.128 0.250 0.068
2 Li 0.327 0.750 0.291
3 Li 0.673 0.250 0.709
4 Li 0.872 0.750 0.932
5 Bi 0.032 0.250 0.292
6 Bi 0.132 0.250 0.565
7 Bi 0.315 0.250 0.805
8 Bi 0.357 0.750 0.015
9 Bi 0.451 0.750 0.605
10 Bi 0.549 0.250 0.395
11 Bi 0.643 0.250 0.985
12 Bi 0.685 0.750 0.195
13 Bi 0.868 0.750 0.435
14 Bi 0.968 0.750 0.708
15 B 0.109 0.750 0.906
16 B 0.274 0.750 0.424
17 B 0.419 0.250 0.191
18 B 0.581 0.750 0.809
19 B 0.726 0.250 0.576
20 B 0.891 0.250 0.094
21 O 0.007 0.750 0.570
22 O 0.009 0.250 0.142
23 O 0.097 0.250 0.710
24 O 0.137 0.750 0.995
25 O 0.189 0.750 0.347
26 O 0.217 0.750 0.869
27 O 0.240 0.750 0.502
28 O 0.324 0.250 0.119
29 O 0.363 0.250 0.654
30 O 0.389 0.250 0.271
31 O 0.401 0.750 0.424
32 O 0.409 0.250 0.945
33 O 0.455 0.750 0.813
34 O 0.545 0.250 0.187
35 O 0.591 0.750 0.055
36 O 0.599 0.250 0.576
37 O 0.611 0.750 0.729
38 O 0.637 0.750 0.346
39 O 0.676 0.750 0.881
40 O 0.760 0.250 0.498
41 O 0.783 0.250 0.131
42 O 0.811 0.250 0.653
43 O 0.863 0.250 0.005
44 O 0.903 0.750 0.290
45 O 0.991 0.750 0.858
46 O 0.993 0.250 0.430

Principal peaks in the range 10° ≤ 2θ ≤ 90°, by angle:
two_theta	intensity
18.65	51
22.26	69
26.31	42
27.07	85
29.09	100
29.73	69
30.03	75
31.73	92
32.79	51
41.59	39
49.11	44
50.06	49

---

Record 4
LiBiB2O5: computed XRD peak list (Cu Kα, 1.54184 Å), based on a cell relaxed with GGA-PBE.
Neutral-atom scattering factors, no anomalous dispersion.

Crystal structure
Unit cell a=5.384 b=4.400 c=7.582 alpha=90.00 beta=95.56 gamma=90.00
Fractional coordinates of all 18 atoms:
1 Li 0.159 0.000 0.110
2 Li 0.841 0.500 0.890
3 Bi 0.134 0.973 0.704
4 Bi 0.866 0.473 0.296
5 B 0.389 0.532 0.934
6 B 0.431 0.975 0.407
7 B 0.569 0.475 0.593
8 B 0.611 0.032 0.066
9 O 0.153 0.658 0.959
10 O 0.155 0.000 0.371
11 O 0.401 0.197 0.961
12 O 0.421 0.594 0.735
13 O 0.495 0.643 0.426
14 O 0.505 0.143 0.574
15 O 0.579 0.094 0.265
16 O 0.599 0.697 0.039
17 O 0.845 0.500 0.629
18 O 0.847 0.158 0.041

Principal peaks in the range 10° ≤ 2θ ≤ 90°, by angle:
two_theta	intensity
16.54	36
19.36	94
21.24	34
23.40	100
23.58	35
26.20	75
29.47	84
34.40	81
39.36	62
44.55	40
46.19	34
51.77	34

---

Record 5
Li5Bi2B4O12: computed XRD peak list (Cu Kα, 1.54184 Å), based on a cell relaxed with GGA-PBE.
Neutral-atom scattering factors, no anomalous dispersion.

Crystal structure
Unit cell a=8.899 b=6.475 c=10.455 alpha=90.00 beta=117.17 gamma=90.00
Fractional coordinates of all 46 atoms:
1 Li 0.000 0.021 0.000
2 Li 0.000 0.979 0.500
3 Li 0.208 0.478 0.968
4 Li 0.208 0.522 0.468
5 Li 0.317 0.174 0.153
6 Li 0.317 0.826 0.653
7 Li 0.458 0.034 0.533
8 Li 0.458 0.966 0.033
9 Li 0.782 0.478 0.442
10 Li 0.782 0.522 0.942
11 Bi 0.424 0.287 0.785
12 Bi 0.424 0.713 0.285
13 Bi 0.813 0.232 0.195
14 Bi 0.813 0.768 0.695
15 B 0.078 0.404 0.172
16 B 0.078 0.596 0.672
17 B 0.154 0.080 0.812
18 B 0.154 0.920 0.312
19 B 0.554 0.433 0.598
20 B 0.554 0.567 0.098
21 B 0.661 0.068 0.376
22 B 0.661 0.932 0.876
23 O 0.010 0.012 0.814
24 O 0.010 0.988 0.314
25 O 0.040 0.447 0.284
26 O 0.040 0.553 0.784
27 O 0.192 0.052 0.697
28 O 0.192 0.948 0.197
29 O 0.229 0.447 0.170
30 O 0.229 0.553 0.670
31 O 0.276 0.182 0.934
32 O 0.276 0.818 0.434
33 O 0.405 0.321 0.546
34 O 0.405 0.679 0.046
35 O 0.545 0.051 0.232
36 O 0.545 0.949 0.732
37 O 0.609 0.474 0.008
38 O 0.609 0.526 0.508
39 O 0.625 0.040 0.974
40 O 0.625 0.960 0.474
41 O 0.646 0.461 0.744
42 O 0.646 0.539 0.244
43 O 0.810 0.178 0.421
44 O 0.810 0.822 0.921
45 O 0.951 0.303 0.054
46 O 0.951 0.697 0.554

Principal peaks in the range 10° ≤ 2θ ≤ 90°, by angle:
two_theta	intensity
11.18	16
17.51	100
19.08	31
21.85	21
22.45	63
29.17	19
31.51	15
32.01	14
33.74	17
35.44	13
35.87	39
44.51	17

---

Record 6
LiBiB2O5: computed XRD peak list (Cu Kα, 1.54184 Å), based on a cell relaxed with GGA-PBE.
Neutral-atom scattering factors, no anomalous dispersion.

Crystal structure
Unit cell a=5.542 b=5.542 c=3.835 alpha=92.30 beta=92.30 gamma=111.69
Fractional coordinates of all 9 atoms:
1 Li 0.000 0.000 0.000
2 Bi 0.346 0.654 0.500
3 B 0.530 0.104 0.101
4 B 0.896 0.470 0.899
5 O 0.086 0.382 0.015
6 O 0.324 0.031 0.314
7 O 0.618 0.914 0.985
8 O 0.640 0.360 0.000
9 O 0.969 0.676 0.686

Principal peaks in the range 10° ≤ 2θ ≤ 90°, by angle:
two_theta	intensity
17.25	100
19.36	41
23.25	14
28.24	38
29.93	43
30.43	22
32.65	27
34.91	15
39.83	16
41.13	31
43.57	15
51.99	13

---

Record 7
LiBiB2O5: computed XRD peak list (Cu Kα, 1.54184 Å), based on a cell relaxed with GGA-PBE.
Neutral-atom scattering factors, no anomalous dispersion.

Crystal structure
Unit cell a=6.951 b=11.022 c=6.956 alpha=90.00 beta=109.01 gamma=90.00
Fractional coordinates of all 36 atoms:
1 Li 0.199 0.008 0.127
2 Li 0.199 0.492 0.627
3 Li 0.801 0.508 0.373
4 Li 0.801 0.992 0.873
5 Bi 0.247 0.673 0.270
6 Bi 0.247 0.827 0.770
7 Bi 0.753 0.173 0.230
8 Bi 0.753 0.327 0.730
9 B 0.082 0.097 0.688
10 B 0.082 0.403 0.188
11 B 0.462 0.078 0.768
12 B 0.462 0.422 0.268
13 B 0.538 0.578 0.732
14 B 0.538 0.922 0.232
15 B 0.918 0.597 0.812
16 B 0.918 0.903 0.312
17 O 0.064 0.003 0.814
18 O 0.064 0.497 0.314
19 O 0.084 0.663 0.927
20 O 0.084 0.837 0.427
21 O 0.272 0.131 0.680
22 O 0.272 0.369 0.180
23 O 0.370 0.652 0.647
24 O 0.370 0.848 0.147
25 O 0.498 0.545 0.272
26 O 0.498 0.955 0.772
27 O 0.502 0.045 0.228
28 O 0.502 0.455 0.728
29 O 0.630 0.152 0.853
30 O 0.630 0.348 0.353
31 O 0.728 0.631 0.820
32 O 0.728 0.869 0.320
33 O 0.916 0.163 0.573
34 O 0.916 0.337 0.073
35 O 0.936 0.503 0.686
36 O 0.936 0.997 0.186

Principal peaks in the range 10° ≤ 2θ ≤ 90°, by angle:
two_theta	intensity
15.70	100
17.61	31
21.03	23
27.12	39
27.30	18
28.97	36
30.78	20
31.67	21
32.96	16
35.26	27
46.32	22
54.32	14

---

- Which formula does entry 6 have?
  LiBiB2O5

---

- Number 2 is which compound?
  LiBiB

---

- Number 7 is which compound?
  LiBiB2O5

---

- Number 4 is which compound?
  LiBiB2O5